PrHo2Al9: computed powder diffractogram (copper Kα), based on a PBE-relaxed structure.
Lines closer than 0.1° are merged.

The 8 most intense peaks (2θ = 15–90°), sorted by position:
18.59 deg, rel. 80; 30.08 deg, rel. 87; 31.93 deg, rel. 89; 32.91 deg, rel. 52; 37.20 deg, rel. 45; 38.11 deg, rel. 100; 55.76 deg, rel. 32; 62.51 deg, rel. 32

Structure:
```
PrHo2Al9
1.0
2.802 1.618 8.766
-2.802 1.618 8.766
0.000 -3.236 8.766
Pr Ho Al
1 2 9
Direct
0.000 0.000 0.000
0.142 0.142 0.142
0.858 0.858 0.858
0.076 0.588 0.588
0.336 0.336 0.336
0.412 0.412 0.924
0.412 0.924 0.412
0.500 0.500 0.500
0.588 0.076 0.588
0.588 0.588 0.076
0.664 0.664 0.664
0.924 0.412 0.412
```